This entry pairs a crystal structure of Ba2TbWO6 with its simulated powder X-ray diffraction pattern. Radiation: λ = 1.5418 Å (Cu Kα). Structure: a structure optimized by DFT (PBE+U).
Neutral-atom scattering factors, no anomalous dispersion.

The 10 most intense peaks (2θ = 10–80°), by angle:
2θ 17.97, I = 1; 2θ 20.77, I = 4; 2θ 29.55, I = 100; 2θ 42.28, I = 28; 2θ 47.55, I = 2; 2θ 52.42, I = 41; 2θ 61.32, I = 18; 2θ 65.49, I = 1; 2θ 69.52, I = 18; 2θ 77.30, I = 6

Crystal structure
```
Ba2TbWO6
1.0
8.551 0.000 0.000
0.000 8.551 0.000
0.000 0.000 8.551
Ba Tb W O
8 4 4 24
Direct
0.250 0.250 0.250 Ba
0.250 0.250 0.750 Ba
0.250 0.750 0.250 Ba
0.250 0.750 0.750 Ba
0.750 0.250 0.250 Ba
0.750 0.250 0.750 Ba
0.750 0.750 0.250 Ba
0.750 0.750 0.750 Ba
0.000 0.000 0.000 Tb
0.000 0.500 0.500 Tb
0.500 0.000 0.500 Tb
0.500 0.500 0.000 Tb
0.000 0.000 0.500 W
0.000 0.500 0.000 W
0.500 0.000 0.000 W
0.500 0.500 0.500 W
0.008 0.236 0.512 O
0.008 0.264 0.988 O
0.012 0.508 0.764 O
0.012 0.992 0.736 O
0.236 0.512 0.008 O
0.236 0.988 0.492 O
0.264 0.512 0.492 O
0.264 0.988 0.008 O
0.488 0.508 0.736 O
0.488 0.992 0.764 O
0.492 0.236 0.988 O
0.492 0.264 0.512 O
0.508 0.736 0.488 O
0.508 0.764 0.012 O
0.512 0.008 0.236 O
0.512 0.492 0.264 O
0.736 0.012 0.992 O
0.736 0.488 0.508 O
0.764 0.012 0.508 O
0.764 0.488 0.992 O
0.988 0.008 0.264 O
0.988 0.492 0.236 O
0.992 0.736 0.012 O
0.992 0.764 0.488 O
```

This entry pairs a crystal structure of Ba3Tb2WO9 with its simulated powder X-ray diffraction pattern. Radiation: λ = 1.5418 Å (Cu Kα). Structure: a structure optimized by DFT (PBE+U).
Neutral-atom scattering factors, no anomalous dispersion.

The 10 most intense peaks (2θ = 10–80°), by angle:
2θ 29.07, I = 20; 2θ 29.21, I = 100; 2θ 41.70, I = 22; 2θ 41.84, I = 10; 2θ 51.61, I = 17; 2θ 51.76, I = 12; 2θ 51.84, I = 21; 2θ 60.55, I = 13; 2θ 68.51, I = 8; 2θ 68.73, I = 5

Crystal structure
```
Ba3Tb2WO9
1.0
6.118 0.000 0.000
0.042 8.667 0.000
3.052 4.305 9.171
Ba Tb W O
6 4 2 18
Direct
0.012 0.244 0.000 Ba
0.339 0.592 0.325 Ba
0.341 0.078 0.327 Ba
0.659 0.922 0.673 Ba
0.661 0.408 0.675 Ba
0.988 0.756 0.000 Ba
0.167 0.169 0.662 Tb
0.500 0.000 0.000 Tb
0.500 0.500 0.000 Tb
0.833 0.831 0.338 Tb
0.163 0.666 0.669 W
0.837 0.334 0.331 W
0.027 0.292 0.460 O
0.124 0.417 0.164 O
0.153 0.905 0.644 O
0.185 0.433 0.679 O
0.187 0.899 0.204 O
0.289 0.041 0.845 O
0.340 0.625 0.807 O
0.451 0.744 0.504 O
0.464 0.267 0.974 O
0.536 0.733 0.026 O
0.549 0.256 0.496 O
0.660 0.375 0.193 O
0.711 0.959 0.155 O
0.813 0.101 0.796 O
0.815 0.567 0.321 O
0.847 0.095 0.356 O
0.876 0.583 0.836 O
0.973 0.708 0.540 O
```